No. 1
Diffraction record for TiHgCl3. The PXRD pattern is computed, not measured: it uses a DFT-relaxed cell (PBE, Alexandria) and CuKα.
Kinematic intensities with the Lorentz-polarization factor, no thermal factor.

Largest 12 diffraction maxima, most intense first, 2θ from 15° to 90°:
- 2θ 34.70, intensity 100
- 2θ 30.93, intensity 72
- 2θ 17.75, intensity 58
- 2θ 17.96, intensity 54
- 2θ 47.20, intensity 49
- 2θ 20.70, intensity 42
- 2θ 29.57, intensity 38
- 2θ 26.76, intensity 27
- 2θ 52.47, intensity 24
- 2θ 64.46, intensity 20
- 2θ 17.20, intensity 18
- 2θ 55.83, intensity 18

Structure:
Lattice parameters (Å, degrees): 10.5870 10.5870 10.5870 33.16 33.16 33.16
Sites, in units of the cell vectors:
1 Ti 0.1667 0.1667 0.1667
2 Ti 0.8333 0.8333 0.8333
3 Hg 0.3346 0.3346 0.3346
4 Hg 0.6654 0.6654 0.6654
5 Cl 0.1057 0.4528 0.8001
6 Cl 0.1999 0.8943 0.5472
7 Cl 0.4528 0.8001 0.1057
8 Cl 0.5472 0.1999 0.8943
9 Cl 0.8001 0.1057 0.4528
10 Cl 0.8943 0.5472 0.1999

No. 2
Diffraction record for Co10NiPt6. The PXRD pattern is computed, not measured: it uses a DFT-relaxed cell (PBE, Alexandria) and CuKα.
Kinematic intensities with the Lorentz-polarization factor, no thermal factor.

Largest 12 diffraction maxima, most intense first, 2θ from 15° to 90°:
- 2θ 43.75, intensity 100
- 2θ 43.26, intensity 91
- 2θ 30.39, intensity 78
- 2θ 42.11, intensity 39
- 2θ 24.58, intensity 26
- 2θ 63.22, intensity 23
- 2θ 55.90, intensity 19
- 2θ 80.73, intensity 18
- 2θ 79.70, intensity 17
- 2θ 53.78, intensity 15
- 2θ 83.82, intensity 14
- 2θ 35.62, intensity 14

Structure:
Lattice parameters (Å, degrees): 7.2443 7.2443 5.0413 90.00 90.00 120.00
Sites, in units of the cell vectors:
1 Co 0.0000 0.2816 0.1716
2 Co 0.0000 0.7184 0.8284
3 Co 0.2816 0.0000 0.1716
4 Co 0.2816 0.2816 0.8284
5 Co 0.3333 0.6667 0.0000
6 Co 0.3333 0.6667 0.5000
7 Co 0.6667 0.3333 0.0000
8 Co 0.6667 0.3333 0.5000
9 Co 0.7184 0.0000 0.8284
10 Co 0.7184 0.7184 0.1716
11 Ni 0.0000 0.0000 0.5000
12 Pt 0.0000 0.3692 0.6968
13 Pt 0.0000 0.6308 0.3032
14 Pt 0.3692 0.0000 0.6968
15 Pt 0.3692 0.3692 0.3032
16 Pt 0.6308 0.0000 0.3032
17 Pt 0.6308 0.6308 0.6968

No. 3
Diffraction record for La12Ni5Pb. The PXRD pattern is computed, not measured: it uses a DFT-relaxed cell (PBE, Alexandria) and CuKα.
Kinematic intensities with the Lorentz-polarization factor, no thermal factor.

Largest 12 diffraction maxima, most intense first, 2θ from 15° to 90°:
- 2θ 30.48, intensity 100
- 2θ 32.74, intensity 90
- 2θ 32.40, intensity 87
- 2θ 33.83, intensity 57
- 2θ 28.83, intensity 50
- 2θ 27.75, intensity 45
- 2θ 57.21, intensity 39
- 2θ 26.69, intensity 38
- 2θ 55.55, intensity 28
- 2θ 50.65, intensity 27
- 2θ 53.32, intensity 25
- 2θ 54.56, intensity 22

Structure:
Lattice parameters (Å, degrees): 8.8210 8.8210 8.8210 112.84 110.02 105.63
Sites, in units of the cell vectors:
1 La 0.0122 0.1979 0.8143
2 La 0.1798 0.3068 0.4865
3 La 0.1798 0.6932 0.8730
4 La 0.3253 0.0124 0.6872
5 La 0.3253 0.6381 0.3128
6 La 0.3836 0.1979 0.1857
7 La 0.6164 0.8021 0.8143
8 La 0.6747 0.3619 0.6872
9 La 0.6747 0.9876 0.3128
10 La 0.8202 0.3068 0.1270
11 La 0.8202 0.6932 0.5135
12 La 0.9878 0.8021 0.1857
13 Ni 0.0000 0.0000 0.0000
14 Ni 0.1247 0.6247 0.5000
15 Ni 0.3667 0.0000 0.3667
16 Ni 0.6333 0.0000 0.6333
17 Ni 0.8753 0.3753 0.5000
18 Pb 0.5000 0.5000 0.0000

No. 4
Diffraction record for AcLa8Nd3. The PXRD pattern is computed, not measured: it uses a DFT-relaxed cell (PBE, Alexandria) and CuKα.
Kinematic intensities with the Lorentz-polarization factor, no thermal factor.

Largest 12 diffraction maxima, most intense first, 2θ from 15° to 90°:
- 2θ 30.36, intensity 100
- 2θ 34.07, intensity 39
- 2θ 29.99, intensity 38
- 2θ 30.48, intensity 26
- 2θ 15.09, intensity 20
- 2θ 63.15, intensity 19
- 2θ 43.29, intensity 19
- 2θ 21.25, intensity 18
- 2θ 53.48, intensity 18
- 2θ 49.03, intensity 17
- 2θ 54.16, intensity 16
- 2θ 26.31, intensity 15

Structure:
Lattice parameters (Å, degrees): 9.0217 9.0217 9.0217 135.90 98.89 97.31
Sites, in units of the cell vectors:
1 Ac 0.0000 0.0000 0.0000
2 La 0.0763 0.2531 0.8232
3 La 0.2789 0.2217 0.5006
4 La 0.2789 0.7783 0.0571
5 La 0.4300 0.2531 0.1768
6 La 0.5700 0.7469 0.8232
7 La 0.7211 0.2217 0.9429
8 La 0.7211 0.7783 0.4994
9 La 0.9237 0.7469 0.1768
10 Nd 0.2708 0.7708 0.5000
11 Nd 0.5000 0.5000 0.0000
12 Nd 0.7292 0.2292 0.5000

No. 5
Diffraction record for Zr5NiSb3. The PXRD pattern is computed, not measured: it uses a DFT-relaxed cell (PBE, Alexandria) and CuKα.
Kinematic intensities with the Lorentz-polarization factor, no thermal factor.

Largest 12 diffraction maxima, most intense first, 2θ from 15° to 90°:
- 2θ 37.23, intensity 100
- 2θ 35.29, intensity 90
- 2θ 36.03, intensity 77
- 2θ 52.77, intensity 23
- 2θ 46.47, intensity 22
- 2θ 57.58, intensity 21
- 2θ 75.60, intensity 17
- 2θ 30.69, intensity 16
- 2θ 68.28, intensity 11
- 2θ 55.86, intensity 11
- 2θ 65.56, intensity 10
- 2θ 70.81, intensity 10

Structure:
Lattice parameters (Å, degrees): 8.6361 8.6361 5.8269 90.00 90.00 120.00
Sites, in units of the cell vectors:
1 Zr 0.0000 0.2571 0.2500
2 Zr 0.0000 0.7429 0.7500
3 Zr 0.2571 0.0000 0.2500
4 Zr 0.2571 0.2571 0.7500
5 Zr 0.3333 0.6667 0.0000
6 Zr 0.3333 0.6667 0.5000
7 Zr 0.6667 0.3333 0.0000
8 Zr 0.6667 0.3333 0.5000
9 Zr 0.7429 0.0000 0.7500
10 Zr 0.7429 0.7429 0.2500
11 Ni 0.0000 0.0000 0.0000
12 Ni 0.0000 0.0000 0.5000
13 Sb 0.0000 0.3882 0.7500
14 Sb 0.0000 0.6118 0.2500
15 Sb 0.3882 0.0000 0.7500
16 Sb 0.3882 0.3882 0.2500
17 Sb 0.6118 0.0000 0.2500
18 Sb 0.6118 0.6118 0.7500

No. 6
Diffraction record for RbRe3Br10. The PXRD pattern is computed, not measured: it uses a DFT-relaxed cell (PBE, Alexandria) and CuKα.
Kinematic intensities with the Lorentz-polarization factor, no thermal factor.

Largest 12 diffraction maxima, most intense first, 2θ from 15° to 90°:
- 2θ 29.81, intensity 100
- 2θ 40.11, intensity 81
- 2θ 37.41, intensity 61
- 2θ 33.70, intensity 61
- 2θ 29.45, intensity 60
- 2θ 32.05, intensity 58
- 2θ 38.28, intensity 52
- 2θ 48.73, intensity 52
- 2θ 21.34, intensity 51
- 2θ 35.58, intensity 48
- 2θ 26.54, intensity 40
- 2θ 52.83, intensity 34

Structure:
Lattice parameters (Å, degrees): 9.4002 9.4002 10.9075 92.91 92.91 71.41
Sites, in units of the cell vectors:
1 Rb 0.2138 0.7862 0.0000
2 Rb 0.7862 0.2138 0.0000
3 Re 0.1881 0.4124 0.6248
4 Re 0.2398 0.2398 0.7978
5 Re 0.4124 0.1881 0.6248
6 Re 0.5876 0.8119 0.3752
7 Re 0.7602 0.7602 0.2022
8 Re 0.8119 0.5876 0.3752
9 Br 0.0016 0.3230 0.4949
10 Br 0.0058 0.4751 0.8025
11 Br 0.0814 0.0814 0.7283
12 Br 0.1624 0.1624 0.0202
13 Br 0.2922 0.6093 0.7021
14 Br 0.3230 0.0016 0.4949
15 Br 0.3601 0.3601 0.4415
16 Br 0.3709 0.3709 0.9465
17 Br 0.3907 0.7078 0.2979
18 Br 0.4751 0.0058 0.8025
19 Br 0.5249 0.9942 0.1975
20 Br 0.6093 0.2922 0.7021
21 Br 0.6291 0.6291 0.0535
22 Br 0.6399 0.6399 0.5585
23 Br 0.6770 0.9984 0.5051
24 Br 0.7078 0.3907 0.2979
25 Br 0.8376 0.8376 0.9798
26 Br 0.9186 0.9186 0.2717
27 Br 0.9942 0.5249 0.1975
28 Br 0.9984 0.6770 0.5051

No. 7
Diffraction record for Na2ZrUO6. The PXRD pattern is computed, not measured: it uses a DFT-relaxed cell (PBE, Alexandria) and CuKα.
Kinematic intensities with the Lorentz-polarization factor, no thermal factor.

Largest 12 diffraction maxima, most intense first, 2θ from 15° to 90°:
- 2θ 21.27, intensity 100
- 2θ 30.02, intensity 99
- 2θ 20.93, intensity 54
- 2θ 30.26, intensity 50
- 2θ 53.61, intensity 41
- 2θ 43.33, intensity 36
- 2θ 48.09, intensity 26
- 2θ 25.85, intensity 24
- 2θ 48.59, intensity 23
- 2θ 48.75, intensity 22
- 2θ 62.38, intensity 20
- 2θ 53.14, intensity 19

Structure:
Lattice parameters (Å, degrees): 5.9066 5.9066 4.2445 90.00 90.00 90.00
Sites, in units of the cell vectors:
1 Na 0.0000 0.5000 0.0000
2 Na 0.5000 0.0000 0.0000
3 Zr 0.0000 0.0000 0.5560
4 U 0.5000 0.5000 0.5848
5 O 0.0000 0.0000 0.0847
6 O 0.2542 0.2542 0.6032
7 O 0.2542 0.7458 0.6032
8 O 0.5000 0.5000 0.0870
9 O 0.7458 0.2542 0.6032
10 O 0.7458 0.7458 0.6032

No. 8
Diffraction record for SmHo4Al4. The PXRD pattern is computed, not measured: it uses a DFT-relaxed cell (PBE, Alexandria) and CuKα.
Kinematic intensities with the Lorentz-polarization factor, no thermal factor.

Largest 12 diffraction maxima, most intense first, 2θ from 15° to 90°:
- 2θ 26.89, intensity 100
- 2θ 37.54, intensity 58
- 2θ 28.79, intensity 50
- 2θ 46.28, intensity 27
- 2θ 35.43, intensity 26
- 2θ 32.60, intensity 18
- 2θ 60.25, intensity 16
- 2θ 53.48, intensity 14
- 2θ 36.66, intensity 13
- 2θ 65.00, intensity 12
- 2θ 58.57, intensity 12
- 2θ 65.22, intensity 10

Structure:
Lattice parameters (Å, degrees): 7.3815 7.3815 7.3815 96.77 96.77 139.85
Sites, in units of the cell vectors:
1 Sm 0.0000 0.0000 0.0000
2 Ho 0.1113 0.6466 0.7579
3 Ho 0.3534 0.1113 0.4647
4 Ho 0.6466 0.8887 0.5353
5 Ho 0.8887 0.3534 0.2421
6 Al 0.3231 0.4225 0.7456
7 Al 0.4225 0.6769 0.0995
8 Al 0.5775 0.3231 0.9005
9 Al 0.6769 0.5775 0.2544

What is the formula in the eighth record?
SmHo4Al4